Starting from a structure optimized by DFT (GGA-PBE), the X-ray powder pattern of KMgC2O10 was simulated for Cu Kα (weighted mean of Kα1 and Kα2).

Principal peaks in the range 10° ≤ 2θ ≤ 80°, in order of rising 2θ:
2θ 17.23, rel. 1000; 2θ 26.63, rel. 308; 2θ 27.08, rel. 343; 2θ 29.94, rel. 487; 2θ 30.36, rel. 283; 2θ 30.87, rel. 436; 2θ 34.86, rel. 376; 2θ 35.86, rel. 270

a b c (Å): 4.6542 6.8738 7.2695
angles (deg): 83.53 82.49 79.32
Space group P-1 (No. 2)
Asymmetric unit:
K 0.0000 0.0000 0.0000 x1
Mg 0.0000 0.5000 0.5000 x1
C 0.4905 0.3306 0.7532 x2
O 0.2526 0.6757 0.3418 x2
O 0.2652 0.2135 0.3519 x2
O 0.2684 0.4561 0.6977 x2
O 0.4580 0.2136 0.8996 x2
O 0.4647 0.8402 0.6676 x2